Entry 1:
ThGe2Pd2: calculated X-ray diffraction stick pattern (Cu Kα (λ = 1.5418 Å)), based on a structure optimized by DFT (GGA-PBE).
Peak positions follow from Bragg's law for the DFT cell and can differ from measured ones.

Structural model:
Lattice parameters (Å, degrees): 5.9907 5.9907 5.9907 137.67 137.67 61.40
Fractional positions:
Th 0.0000 0.0000 0.0000
Ge 0.3799 0.3799 0.0000
Ge 0.6201 0.6201 0.0000
Pd 0.2500 0.7500 0.5000
Pd 0.7500 0.2500 0.5000

The 10 most intense peaks (10 to 80 degrees two-theta), in order of rising 2θ:
22.29 deg, I 18
33.31 deg, I 54
34.09 deg, I 100
41.76 deg, I 49
48.97 deg, I 21
54.44 deg, I 27
60.54 deg, I 16
61.98 deg, I 15
66.27 deg, I 17
71.34 deg, I 24

***

Entry 2:
TmGePd2: calculated X-ray diffraction stick pattern (Cu Kα (λ = 1.5418 Å)), based on a structure optimized by DFT (GGA-PBE).
Peak positions follow from Bragg's law for the DFT cell and can differ from measured ones.

Structural model:
Lattice parameters (Å, degrees): 7.2560 7.1791 5.6020 90.00 90.00 90.00
Fractional positions:
Tm 0.0232 0.2500 0.1439
Tm 0.4768 0.7500 0.6439
Tm 0.5232 0.2500 0.3561
Tm 0.9768 0.7500 0.8561
Ge 0.1209 0.7500 0.3609
Ge 0.3791 0.2500 0.8609
Ge 0.6209 0.7500 0.1391
Ge 0.8791 0.2500 0.6391
Pd 0.1843 0.0516 0.5880
Pd 0.1843 0.4484 0.5880
Pd 0.3157 0.5516 0.0880
Pd 0.3157 0.9484 0.0880
Pd 0.6843 0.0516 0.9120
Pd 0.6843 0.4484 0.9120
Pd 0.8157 0.5516 0.4120
Pd 0.8157 0.9484 0.4120

The 10 most intense peaks (10 to 80 degrees two-theta), in order of rising 2θ:
31.92 deg, I 56
32.08 deg, I 40
34.32 deg, I 23
35.17 deg, I 77
36.60 deg, I 100
38.78 deg, I 39
40.64 deg, I 65
42.81 deg, I 32
42.95 deg, I 39
64.04 deg, I 21

***

Entry 3:
UGe2Pd2: calculated X-ray diffraction stick pattern (Cu Kα (λ = 1.5418 Å)), based on a structure optimized by DFT (GGA-PBE).
Peak positions follow from Bragg's law for the DFT cell and can differ from measured ones.

Structural model:
Lattice parameters (Å, degrees): 6.0652 6.0652 6.0652 139.76 139.76 58.21
Fractional positions:
U 0.0000 0.0000 0.0000
Ge 0.3855 0.3855 0.0000
Ge 0.6145 0.6145 0.0000
Pd 0.2500 0.7500 0.5000
Pd 0.7500 0.2500 0.5000

The 10 most intense peaks (10 to 80 degrees two-theta), in order of rising 2θ:
22.91 deg, I 16
33.23 deg, I 51
34.80 deg, I 100
43.37 deg, I 45
48.15 deg, I 25
55.71 deg, I 24
61.15 deg, I 14
63.01 deg, I 15
66.79 deg, I 19
74.04 deg, I 23

***

Entry 4:
YGe2Pd: calculated X-ray diffraction stick pattern (Cu Kα (λ = 1.5418 Å)), based on a structure optimized by DFT (GGA-PBE).
Peak positions follow from Bragg's law for the DFT cell and can differ from measured ones.

Structural model:
Lattice parameters (Å, degrees): 9.5507 9.5507 9.5507 153.69 124.93 62.03
Fractional positions:
Y 0.2028 0.2028 0.0000
Y 0.2386 0.0000 0.2386
Y 0.7614 0.0000 0.7614
Y 0.7972 0.7972 0.0000
Ge 0.0743 0.5743 0.5000
Ge 0.1510 0.8019 0.3492
Ge 0.4254 0.4254 0.0000
Ge 0.4527 0.8019 0.6508
Ge 0.5473 0.1981 0.3492
Ge 0.5746 0.5746 0.0000
Ge 0.8490 0.1981 0.6508
Ge 0.9257 0.4257 0.5000
Pd 0.1025 0.3526 0.7499
Pd 0.3973 0.6474 0.7499
Pd 0.6027 0.3526 0.2501
Pd 0.8975 0.6474 0.2501

The 10 most intense peaks (10 to 80 degrees two-theta), in order of rising 2θ:
33.26 deg, I 100
34.29 deg, I 78
38.54 deg, I 24
38.80 deg, I 42
40.88 deg, I 21
41.55 deg, I 54
49.21 deg, I 23
58.15 deg, I 25
69.61 deg, I 22
70.53 deg, I 17

***

Entry 5:
Pm3Ge: calculated X-ray diffraction stick pattern (Cu Kα (λ = 1.5418 Å)), based on a structure optimized by DFT (GGA-PBE).
Peak positions follow from Bragg's law for the DFT cell and can differ from measured ones.

Structural model:
Lattice parameters (Å, degrees): 4.8079 4.8079 4.8079 90.00 90.00 90.00
Fractional positions:
Pm 0.0000 0.0000 0.5000
Pm 0.0000 0.5000 0.0000
Pm 0.5000 0.0000 0.0000
Ge 0.5000 0.5000 0.5000

The 10 most intense peaks (10 to 80 degrees two-theta), in order of rising 2θ:
18.45 deg, I 6
26.21 deg, I 5
32.25 deg, I 100
37.41 deg, I 50
42.02 deg, I 3
46.25 deg, I 2
53.94 deg, I 35
64.26 deg, I 41
67.48 deg, I 12
79.79 deg, I 6

***

Entry 6:
Pr4Ge7: calculated X-ray diffraction stick pattern (Cu Kα (λ = 1.5418 Å)), based on a structure optimized by DFT (GGA-PBE).
Peak positions follow from Bragg's law for the DFT cell and can differ from measured ones.

Structural model:
Lattice parameters (Å, degrees): 7.6955 7.6955 12.1688 90.00 90.00 133.44
Fractional positions:
Pr 0.0036 0.9964 0.7500
Pr 0.0190 0.5090 0.1194
Pr 0.4878 0.4878 0.5000
Pr 0.4910 0.9810 0.3806
Pr 0.5090 0.0190 0.8806
Pr 0.5122 0.5122 0.0000
Pr 0.9810 0.4910 0.6194
Pr 0.9964 0.0036 0.2500
Ge 0.0724 0.8965 0.4900
Ge 0.0817 0.4245 0.3714
Ge 0.1035 0.9276 0.0100
Ge 0.1733 0.4729 0.8394
Ge 0.4245 0.0817 0.6286
Ge 0.4375 0.5625 0.2500
Ge 0.4729 0.1733 0.1606
Ge 0.5271 0.8267 0.6606
Ge 0.5625 0.4375 0.7500
Ge 0.5755 0.9183 0.1286
Ge 0.8267 0.5271 0.3394
Ge 0.8965 0.0724 0.5100
Ge 0.9183 0.5755 0.8714
Ge 0.9276 0.1035 0.9900

The 10 most intense peaks (10 to 80 degrees two-theta), in order of rising 2θ:
28.09 deg, I 41
32.03 deg, I 100
38.08 deg, I 47
42.01 deg, I 37
49.88 deg, I 18
51.30 deg, I 10
57.99 deg, I 22
60.91 deg, I 10
67.21 deg, I 16
70.50 deg, I 18